(1)
Diffraction record for MnGaBRuSe. The XRD peak list is calculated, not measured: it uses a crystal structure in Alexandria, relaxed with PBE and Cu Kα, 1.54184 Å.

Most intense lines, 2θ from 5° to 70°, by intensity:
two_theta  Rel. int.
45.7  100
15.5  90
36.2  73
23.0  65
38.9  33
46.2  28
47.1  26
22.6  18
27.5  17
68.1  17

Cell and atoms:
abc: 3.8619 3.9322 5.7310
angles: 90.00 90.00 90.00
Element x y z (fractional)
1 Mn 0.0000 0.0000 0.0000
2 Ga 0.5000 0.0000 0.6999
3 B 0.0000 0.5000 0.8700
4 Ru 0.5000 0.5000 0.9841
5 Se 0.5000 0.0000 0.2616


(2)
Diffraction record for MnGaBRuSe. The XRD peak list is calculated, not measured: it uses a crystal structure in Alexandria, relaxed with PBE and Cu Kα, 1.54184 Å.

Most intense lines, 2θ from 5° to 70°, by intensity:
two_theta  Rel. int.
42.7  100
26.6  47
32.8  42
42.1  37
16.7  36
65.3  20
47.8  20
31.5  18
54.7  17
43.5  16

Cell and atoms:
abc: 3.3552 5.7256 5.7256
angles: 44.01 90.00 90.00
Element x y z (fractional)
1 Mn 0.0000 0.0000 0.0000
2 Ga 0.5000 0.1721 0.1721
3 B 0.0000 0.5487 0.5487
4 Ru 0.5000 0.4420 0.4420
5 Se 0.5000 0.8333 0.8333


(3)
Diffraction record for MnGaBRuSe. The XRD peak list is calculated, not measured: it uses a crystal structure in Alexandria, relaxed with PBE and Cu Kα, 1.54184 Å.

Most intense lines, 2θ from 5° to 70°, by intensity:
two_theta  Rel. int.
31.8  100
35.1  77
44.1  69
41.4  62
56.2  47
44.0  36
11.1  29
45.5  27
37.0  27
56.4  23

Cell and atoms:
abc: 3.2722 3.2722 8.1851
angles: 101.43 101.43 59.77
Element x y z (fractional)
1 Mn 0.0000 0.0000 0.0000
2 Ga 0.4933 0.4933 0.4844
3 B 0.3808 0.3808 0.1444
4 Ru 0.7537 0.7537 0.2655
5 Se 0.6015 0.6015 0.8016


(4)
Diffraction record for MnGaBRuSe. The XRD peak list is calculated, not measured: it uses a crystal structure in Alexandria, relaxed with PBE and Cu Kα, 1.54184 Å.

Most intense lines, 2θ from 5° to 70°, by intensity:
two_theta  Rel. int.
32.6  100
35.2  98
44.4  97
56.5  80
41.7  65
50.3  44
37.1  43
11.2  38
31.9  35
46.0  25

Cell and atoms:
abc: 8.1072 8.1072 8.1072
angles: 23.18 23.18 23.18
Element x y z (fractional)
1 Mn 0.0000 0.0000 0.0000
2 Ga 0.1620 0.1620 0.1620
3 B 0.3775 0.3775 0.3775
4 Ru 0.7539 0.7539 0.7539
5 Se 0.2717 0.2717 0.2717


(5)
Diffraction record for GaReBMo2. The XRD peak list is calculated, not measured: it uses a crystal structure in Alexandria, relaxed with PBE and Cu Kα, 1.54184 Å.

Most intense lines, 2θ from 5° to 70°, by intensity:
two_theta  Rel. int.
28.9  100
37.3  88
22.1  70
47.9  51
43.8  47
59.9  43
18.4  34
53.8  30
45.1  25
58.8  19

Cell and atoms:
abc: 4.8207 4.8207 4.0210
angles: 90.00 90.00 90.00
Element x y z (fractional)
1 Ga 0.0000 0.0000 0.0000
2 Re 0.5000 0.5000 0.5000
3 B 0.5000 0.5000 0.0000
4 Mo 0.0000 0.5000 0.5000
5 Mo 0.5000 0.0000 0.5000


(6)
Diffraction record for GaB6N6. The XRD peak list is calculated, not measured: it uses a crystal structure in Alexandria, relaxed with PBE and Cu Kα, 1.54184 Å.

Most intense lines, 2θ from 5° to 70°, by intensity:
two_theta  Rel. int.
19.3  100
48.5  80
44.1  50
39.2  40
33.8  34
60.5  22
67.6  12
27.5  11
64.1  4
56.7  3

Cell and atoms:
abc: 4.5935 4.5935 4.5935
angles: 90.00 90.00 90.00
Element x y z (fractional)
1 Ga 0.0000 0.0000 0.0000
2 B 0.0000 0.2471 0.5000
3 B 0.0000 0.7529 0.5000
4 B 0.2471 0.5000 0.0000
5 B 0.5000 0.0000 0.2471
6 B 0.5000 0.0000 0.7529
7 B 0.7529 0.5000 0.0000
8 N 0.0000 0.5000 0.2538
9 N 0.0000 0.5000 0.7462
10 N 0.2538 0.0000 0.5000
11 N 0.5000 0.2538 0.0000
12 N 0.5000 0.7462 0.0000
13 N 0.7462 0.0000 0.5000


(7)
Diffraction record for Na2GaB2O6. The XRD peak list is calculated, not measured: it uses a crystal structure in Alexandria, relaxed with PBE and Cu Kα, 1.54184 Å.

Most intense lines, 2θ from 5° to 70°, by intensity:
two_theta  Rel. int.
25.3  100
14.9  68
36.5  64
44.3  36
35.7  29
58.2  23
59.3  23
52.0  23
20.4  20
38.9  20

Cell and atoms:
abc: 5.0247 5.0247 5.9604
angles: 90.00 90.00 120.00
Element x y z (fractional)
1 Na 0.3333 0.6667 0.3411
2 Na 0.6667 0.3333 0.6589
3 Ga 0.0000 0.0000 0.0000
4 B 0.3333 0.6667 0.8161
5 B 0.6667 0.3333 0.1839
6 O 0.1049 0.3635 0.8021
7 O 0.2586 0.8951 0.8021
8 O 0.3635 0.2586 0.1979
9 O 0.6365 0.7414 0.8021
10 O 0.7414 0.1049 0.1979
11 O 0.8951 0.6365 0.1979


(8)
Diffraction record for NaGa3B4O12. The XRD peak list is calculated, not measured: it uses a crystal structure in Alexandria, relaxed with PBE and Cu Kα, 1.54184 Å.

Most intense lines, 2θ from 5° to 70°, by intensity:
two_theta  Rel. int.
31.7  100
46.0  60
18.6  54
24.4  53
30.9  39
52.3  37
63.0  34
15.7  20
57.9  19
39.8  15

Cell and atoms:
abc: 6.0836 6.0836 6.0836
angles: 103.43 103.43 103.43
Element x y z (fractional)
1 Na 0.0000 0.0000 0.0000
2 Ga 0.0000 0.5531 0.4469
3 Ga 0.4469 0.0000 0.5531
4 Ga 0.5531 0.4469 0.0000
5 B 0.0539 0.5000 0.9461
6 B 0.5000 0.5000 0.5000
7 B 0.5000 0.9461 0.0539
8 B 0.9461 0.0539 0.5000
9 O 0.0255 0.6171 0.7806
10 O 0.0916 0.9084 0.5000
11 O 0.2194 0.3829 0.9745
12 O 0.3552 0.6448 0.5000
13 O 0.3829 0.9745 0.2194
14 O 0.5000 0.0916 0.9084
15 O 0.5000 0.3552 0.6448
16 O 0.6171 0.7806 0.0255
17 O 0.6448 0.5000 0.3552
18 O 0.7806 0.0255 0.6171
19 O 0.9084 0.5000 0.0916
20 O 0.9745 0.2194 0.3829


(9)
Diffraction record for Nb8Ga2B. The XRD peak list is calculated, not measured: it uses a crystal structure in Alexandria, relaxed with PBE and Cu Kα, 1.54184 Å.

Most intense lines, 2θ from 5° to 70°, by intensity:
two_theta  Rel. int.
36.4  100
39.8  70
38.6  69
33.6  49
35.9  39
38.0  32
44.2  30
43.0  29
53.0  27
39.3  18

Cell and atoms:
abc: 8.0619 8.0619 5.6085
angles: 107.09 107.09 32.62
Element x y z (fractional)
1 Nb 0.0107 0.0107 0.2538
2 Nb 0.2224 0.2224 0.1205
3 Nb 0.3654 0.3654 0.7243
4 Nb 0.4139 0.4139 0.2818
5 Nb 0.5861 0.5861 0.7182
6 Nb 0.6346 0.6346 0.2757
7 Nb 0.7776 0.7776 0.8795
8 Nb 0.9893 0.9893 0.7462
9 Ga 0.1754 0.1754 0.6086
10 Ga 0.8246 0.8246 0.3914
11 B 0.5000 0.5000 0.0000


(10)
Diffraction record for Nd2GaBPt6. The XRD peak list is calculated, not measured: it uses a crystal structure in Alexandria, relaxed with PBE and Cu Kα, 1.54184 Å.

Most intense lines, 2θ from 5° to 70°, by intensity:
two_theta  Rel. int.
35.0  100
43.7  36
56.3  22
33.6  18
60.9  17
40.2  13
46.0  13
63.6  12
16.6  8
27.3  5

Cell and atoms:
abc: 6.7523 6.7523 6.7523
angles: 128.61 128.61 75.64
Element x y z (fractional)
1 Nd 0.0000 0.5000 0.5000
2 Nd 0.5000 0.0000 0.5000
3 Ga 0.1439 0.1439 0.0000
4 B 0.6431 0.6431 0.0000
5 Pt 0.4440 0.4440 0.0000
6 Pt 0.5102 0.5102 0.5246
7 Pt 0.5102 0.9856 0.0000
8 Pt 0.9248 0.9248 0.0000
9 Pt 0.9856 0.5102 0.0000
10 Pt 0.9856 0.9856 0.4754


(11)
Diffraction record for GaNi11B5. The XRD peak list is calculated, not measured: it uses a crystal structure in Alexandria, relaxed with PBE and Cu Kα, 1.54184 Å.

Most intense lines, 2θ from 5° to 70°, by intensity:
two_theta  Rel. int.
37.3  100
47.5  86
39.6  74
38.6  73
38.3  59
43.6  55
43.3  39
46.9  37
51.1  33
46.1  31

Cell and atoms:
abc: 6.0406 6.0406 4.8609
angles: 99.76 99.76 100.06
Element x y z (fractional)
1 Ga 0.0000 0.0000 0.0000
2 Ni 0.0000 0.0000 0.5000
3 Ni 0.1326 0.6737 0.6773
4 Ni 0.1911 0.4564 0.1000
5 Ni 0.3263 0.8674 0.3227
6 Ni 0.3300 0.3300 0.6151
7 Ni 0.4564 0.1911 0.1000
8 Ni 0.5436 0.8089 0.9000
9 Ni 0.6700 0.6700 0.3849
10 Ni 0.6737 0.1326 0.6773
11 Ni 0.8089 0.5436 0.9000
12 Ni 0.8674 0.3263 0.3227
13 B 0.0037 0.3361 0.7179
14 B 0.3361 0.0037 0.7179
15 B 0.5000 0.5000 0.0000
16 B 0.6639 0.9963 0.2821
17 B 0.9963 0.6639 0.2821


(12)
Diffraction record for Ga2Ni8B. The XRD peak list is calculated, not measured: it uses a crystal structure in Alexandria, relaxed with PBE and Cu Kα, 1.54184 Å.

Most intense lines, 2θ from 5° to 70°, by intensity:
two_theta  Rel. int.
48.1  100
44.5  57
44.9  42
38.4  28
60.5  14
42.6  10
46.2  10
66.4  6
30.3  5
15.0  4

Cell and atoms:
abc: 6.7307 6.7307 6.7307
angles: 145.09 135.38 57.87
Element x y z (fractional)
1 Ga 0.1870 0.1870 0.0000
2 Ga 0.8130 0.8130 0.0000
3 Ni 0.1208 0.3748 0.7460
4 Ni 0.2538 0.0000 0.2538
5 Ni 0.3171 0.8171 0.5000
6 Ni 0.3712 0.6252 0.7460
7 Ni 0.6288 0.3748 0.2540
8 Ni 0.6829 0.1829 0.5000
9 Ni 0.7462 0.0000 0.7462
10 Ni 0.8792 0.6252 0.2540
11 B 0.5000 0.5000 0.0000


(13)
Diffraction record for Ga2Ni21B6. The XRD peak list is calculated, not measured: it uses a crystal structure in Alexandria, relaxed with PBE and Cu Kα, 1.54184 Å.

Most intense lines, 2θ from 5° to 70°, by intensity:
two_theta  Rel. int.
44.9  100
42.2  32
38.4  27
51.6  26
49.2  22
52.4  11
58.4  8
34.2  5
57.7  3
55.4  3

Cell and atoms:
abc: 7.4122 7.4122 7.4122
angles: 60.00 60.00 60.00
Element x y z (fractional)
1 Ga 0.2500 0.2500 0.2500
2 Ga 0.7500 0.7500 0.7500
3 Ni 0.0000 0.0000 0.0000
4 Ni 0.0000 0.0000 0.3372
5 Ni 0.0000 0.0000 0.6628
6 Ni 0.0000 0.3372 0.0000
7 Ni 0.0000 0.3372 0.6628
8 Ni 0.0000 0.6628 0.0000
9 Ni 0.0000 0.6628 0.3372
10 Ni 0.1475 0.6175 0.6175
11 Ni 0.3372 0.0000 0.0000
12 Ni 0.3372 0.0000 0.6628
13 Ni 0.3372 0.6628 0.0000
14 Ni 0.3825 0.3825 0.3825
15 Ni 0.3825 0.3825 0.8525
16 Ni 0.3825 0.8525 0.3825
17 Ni 0.6175 0.1475 0.6175
18 Ni 0.6175 0.6175 0.1475
19 Ni 0.6175 0.6175 0.6175
20 Ni 0.6628 0.0000 0.0000
21 Ni 0.6628 0.0000 0.3372
22 Ni 0.6628 0.3372 0.0000
23 Ni 0.8525 0.3825 0.3825
24 B 0.2733 0.2733 0.7267
25 B 0.2733 0.7267 0.2733
26 B 0.2733 0.7267 0.7267
27 B 0.7267 0.2733 0.2733
28 B 0.7267 0.2733 0.7267
29 B 0.7267 0.7267 0.2733